# NbSnMoO6
Simulated X-ray powder pattern, Cu Ka. Input: a PBE+U-relaxed structure.

Top 6 peaks for 2θ = 10–90°, in order of falling intensity:
hkl  two_theta  intensity
1 1 0  25.9  1000
1 0 3  33.5  757
2 1 3  50.7  664
2 0 0  37.0  209
3 0 3  64.4  205
2 2 0  53.3  168

```
data_NbSnMoO6
_space_group_name_H-M_alt 'P 42 n m'
_space_group_IT_number 102
_space_group_name_Hall 'P 4n -2n'
_cell_length_a 4.860
_cell_length_b 4.860
_cell_length_c 9.627
_cell_angle_alpha 90.00
_cell_angle_beta 90.00
_cell_angle_gamma 90.00
loop_
_atom_site_label
_atom_site_fract_x
_atom_site_fract_y
_atom_site_fract_z
_atom_site_occupancy
Nb1 0.000 0.000 0.000 1
Sn1 0.000 0.000 0.663 1
Mo1 0.000 0.000 0.331 1
O1 0.187 0.187 0.835 1
O2 0.196 0.196 0.152 1
O3 0.202 0.202 0.501 1
```